# SrCaMn2O6
Simulated powder diffraction line list, Cu Ka. Input: the PBE+U geometry in Alexandria.

Top 8 peaks for 5° ≤ 2θ ≤ 70°, sorted by position:
- 11.51 deg, I = 6, hkl 1 0 0
- 25.91 deg, I = 8, hkl 1 1 1
- 32.95 deg, I = 100, hkl 2 1 1
- 35.01 deg, I = 5, hkl 3 0 0
- 40.65 deg, I = 8, hkl 2 0 2
- 47.29 deg, I = 38, hkl 4 0 0
- 58.85 deg, I = 40, hkl 2 3 1
- 69.10 deg, I = 16, hkl 4 2 2

Crystal structure
```
data_SrCaMn2O6
_chemical_formula_sum 'Sr2 Ca2 Mn4 O12'
_space_group_name_H-M_alt 'P m c 21'
_space_group_IT_number 26
_space_group_name_Hall 'P 2c -2'
_cell_length_a 7.6891
_cell_length_b 5.4306
_cell_length_c 5.4420
_cell_angle_alpha 90.00
_cell_angle_beta 90.00
_cell_angle_gamma 90.00
loop_
_atom_site_label
_atom_site_fract_x
_atom_site_fract_y
_atom_site_fract_z
_atom_site_occupancy
Sr1 0.0000 0.2456 0.0000 1
Ca1 0.5000 0.2563 0.0626 1
Mn1 0.2550 0.2480 0.5276 1
O1 0.0000 0.2996 0.5248 1
O2 0.2274 0.0347 0.2390 1
O3 0.2911 0.4647 0.8072 1
O4 0.5000 0.1769 0.5040 1
```